(1)
Theoretical powder XRD pattern
Compound: CaInNiPt
Radiation: a wavelength of 1.5418 Å
Structure: a GGA-PBE-relaxed structure

The 6 most intense peaks (2θ from 10° to 90°), by angle:
2θ (°), I_rel
23.11, 29
38.19, 100
45.12, 16
55.12, 17
69.03, 34
81.73, 11

Atomic structure:
```
data_CaInNiPt
_chemical_formula_sum 'Ca1 In1 Ni1 Pt1'
_cell_length_a 4.713
_cell_length_b 4.713
_cell_length_c 4.713
_cell_angle_alpha 60.00
_cell_angle_beta 60.00
_cell_angle_gamma 60.00
_symmetry_space_group_name_H-M 'P 1'
_symmetry_Int_Tables_number 1
_symmetry_space_group_name_Hall 'P 1'
loop_
_atom_site_label
_atom_site_type_symbol
_atom_site_fract_x
_atom_site_fract_y
_atom_site_fract_z
_atom_site_occupancy
Ca1 Ca 0.000 0.000 0.000 1
In1 In 0.500 0.500 0.500 1
Ni1 Ni 0.250 0.250 0.250 1
Pt1 Pt 0.750 0.750 0.750 1
```

(2)
Theoretical powder XRD pattern
Compound: CaIn2O3
Radiation: a wavelength of 1.5418 Å
Structure: a GGA-PBE-relaxed structure

The 6 most intense peaks (2θ from 10° to 90°), by angle:
2θ (°), I_rel
17.52, 41
30.58, 100
32.82, 59
41.61, 61
45.47, 33
54.36, 27

Atomic structure:
```
data_CaIn2O3
_chemical_formula_sum 'Ca2 In4 O6'
_cell_length_a 5.844
_cell_length_b 5.844
_cell_length_c 6.481
_cell_angle_alpha 90.00
_cell_angle_beta 90.00
_cell_angle_gamma 60.07
_symmetry_space_group_name_H-M 'P 1'
_symmetry_Int_Tables_number 1
_symmetry_space_group_name_Hall 'P 1'
loop_
_atom_site_label
_atom_site_type_symbol
_atom_site_fract_x
_atom_site_fract_y
_atom_site_fract_z
_atom_site_occupancy
Ca1 Ca 0.000 0.000 0.250 1
Ca2 Ca 0.000 0.000 0.750 1
In1 In 0.333 0.333 0.000 1
In2 In 0.333 0.333 0.500 1
In3 In 0.667 0.667 0.000 1
In4 In 0.667 0.667 0.500 1
O1 O 0.001 0.612 0.250 1
O2 O 0.387 0.613 0.750 1
O3 O 0.388 0.999 0.250 1
O4 O 0.612 0.001 0.750 1
O5 O 0.613 0.387 0.250 1
O6 O 0.999 0.388 0.750 1
```

(3)
Theoretical powder XRD pattern
Compound: Ca2In2O5
Radiation: a wavelength of 1.5418 Å
Structure: a GGA-PBE-relaxed structure

The 6 most intense peaks (2θ from 10° to 90°), by angle:
2θ (°), I_rel
21.29, 45
23.35, 23
30.29, 65
31.81, 100
54.83, 24
57.60, 22

Atomic structure:
```
data_Ca2In2O5
_chemical_formula_sum 'Ca8 In8 O20'
_cell_length_a 5.908
_cell_length_b 15.239
_cell_length_c 5.893
_cell_angle_alpha 90.00
_cell_angle_beta 90.00
_cell_angle_gamma 90.00
_symmetry_space_group_name_H-M 'P 1'
_symmetry_Int_Tables_number 1
_symmetry_space_group_name_Hall 'P 1'
loop_
_atom_site_label
_atom_site_type_symbol
_atom_site_fract_x
_atom_site_fract_y
_atom_site_fract_z
_atom_site_occupancy
Ca1 Ca 0.058 0.111 0.020 1
Ca2 Ca 0.058 0.389 0.020 1
Ca3 Ca 0.442 0.611 0.520 1
Ca4 Ca 0.442 0.889 0.520 1
Ca5 Ca 0.558 0.111 0.480 1
Ca6 Ca 0.558 0.389 0.480 1
Ca7 Ca 0.942 0.611 0.980 1
Ca8 Ca 0.942 0.889 0.980 1
In1 In 0.000 0.000 0.500 1
In2 In 0.000 0.500 0.500 1
In3 In 0.071 0.250 0.548 1
In4 In 0.429 0.750 0.048 1
In5 In 0.500 0.000 0.000 1
In6 In 0.500 0.500 0.000 1
In7 In 0.571 0.250 0.952 1
In8 In 0.929 0.750 0.452 1
O1 O 0.056 0.640 0.610 1
O2 O 0.056 0.860 0.610 1
O3 O 0.074 0.750 0.117 1
O4 O 0.196 0.529 0.193 1
O5 O 0.196 0.971 0.193 1
O6 O 0.304 0.029 0.693 1
O7 O 0.304 0.471 0.693 1
O8 O 0.426 0.250 0.617 1
O9 O 0.444 0.140 0.110 1
O10 O 0.444 0.360 0.110 1
O11 O 0.556 0.640 0.890 1
O12 O 0.556 0.860 0.890 1
O13 O 0.574 0.750 0.383 1
O14 O 0.696 0.529 0.307 1
O15 O 0.696 0.971 0.307 1
O16 O 0.804 0.029 0.807 1
O17 O 0.804 0.471 0.807 1
O18 O 0.926 0.250 0.883 1
O19 O 0.944 0.140 0.390 1
O20 O 0.944 0.360 0.390 1
```

(4)
Theoretical powder XRD pattern
Compound: Ca3InO4
Radiation: a wavelength of 1.5418 Å
Structure: a GGA-PBE-relaxed structure

The 6 most intense peaks (2θ from 10° to 90°), by angle:
2θ (°), I_rel
25.40, 95
31.59, 100
37.44, 43
44.76, 73
45.78, 34
59.73, 56

Atomic structure:
```
data_Ca3InO4
_chemical_formula_sum 'Ca6 In2 O8'
_cell_length_a 4.804
_cell_length_b 8.094
_cell_length_c 7.017
_cell_angle_alpha 90.00
_cell_angle_beta 90.00
_cell_angle_gamma 90.00
_symmetry_space_group_name_H-M 'P 1'
_symmetry_Int_Tables_number 1
_symmetry_space_group_name_Hall 'P 1'
loop_
_atom_site_label
_atom_site_type_symbol
_atom_site_fract_x
_atom_site_fract_y
_atom_site_fract_z
_atom_site_occupancy
Ca1 Ca 0.250 0.000 0.167 1
Ca2 Ca 0.250 0.250 0.663 1
Ca3 Ca 0.250 0.500 0.167 1
Ca4 Ca 0.750 0.000 0.833 1
Ca5 Ca 0.750 0.500 0.833 1
Ca6 Ca 0.750 0.750 0.337 1
In1 In 0.250 0.750 0.669 1
In2 In 0.750 0.250 0.331 1
O1 O 0.250 0.006 0.836 1
O2 O 0.250 0.250 0.331 1
O3 O 0.250 0.494 0.836 1
O4 O 0.250 0.750 0.331 1
O5 O 0.750 0.250 0.669 1
O6 O 0.750 0.506 0.164 1
O7 O 0.750 0.750 0.669 1
O8 O 0.750 0.994 0.164 1
```

(5)
Theoretical powder XRD pattern
Compound: Ca3InO4
Radiation: a wavelength of 1.5418 Å
Structure: a GGA-PBE-relaxed structure

The 6 most intense peaks (2θ from 10° to 90°), by angle:
2θ (°), I_rel
20.40, 48
31.76, 100
36.37, 53
37.07, 100
52.91, 64
53.43, 31

Atomic structure:
```
data_Ca3InO4
_chemical_formula_sum 'Ca3 In1 O4'
_cell_length_a 6.014
_cell_length_b 6.014
_cell_length_c 6.014
_cell_angle_alpha 132.43
_cell_angle_beta 132.43
_cell_angle_gamma 69.55
_symmetry_space_group_name_H-M 'P 1'
_symmetry_Int_Tables_number 1
_symmetry_space_group_name_Hall 'P 1'
loop_
_atom_site_label
_atom_site_type_symbol
_atom_site_fract_x
_atom_site_fract_y
_atom_site_fract_z
_atom_site_occupancy
Ca1 Ca 0.000 0.000 0.000 1
Ca2 Ca 0.250 0.750 0.500 1
Ca3 Ca 0.750 0.250 0.500 1
In1 In 0.500 0.500 0.000 1
O1 O 0.000 0.500 0.500 1
O2 O 0.240 0.240 0.000 1
O3 O 0.500 0.000 0.500 1
O4 O 0.760 0.760 0.000 1
```

(6)
Theoretical powder XRD pattern
Compound: SrCaIn4O8
Radiation: a wavelength of 1.5418 Å
Structure: a GGA-PBE-relaxed structure

The 6 most intense peaks (2θ from 10° to 90°), by angle:
2θ (°), I_rel
26.55, 56
31.26, 100
31.33, 75
49.93, 45
54.65, 35
54.85, 36

Atomic structure:
```
data_SrCaIn4O8
_chemical_formula_sum 'Sr1 Ca1 In4 O8'
_cell_length_a 6.718
_cell_length_b 6.718
_cell_length_c 6.718
_cell_angle_alpha 59.78
_cell_angle_beta 59.78
_cell_angle_gamma 59.78
_symmetry_space_group_name_H-M 'P 1'
_symmetry_Int_Tables_number 1
_symmetry_space_group_name_Hall 'P 1'
loop_
_atom_site_label
_atom_site_type_symbol
_atom_site_fract_x
_atom_site_fract_y
_atom_site_fract_z
_atom_site_occupancy
Sr1 Sr 0.000 0.000 0.000 1
Ca1 Ca 0.377 0.377 0.377 1
In1 In 0.375 0.375 0.887 1
In2 In 0.375 0.887 0.375 1
In3 In 0.760 0.760 0.760 1
In4 In 0.887 0.375 0.375 1
O1 O 0.137 0.137 0.578 1
O2 O 0.137 0.578 0.137 1
O3 O 0.143 0.143 0.143 1
O4 O 0.152 0.629 0.629 1
O5 O 0.578 0.137 0.137 1
O6 O 0.624 0.624 0.624 1
O7 O 0.629 0.152 0.629 1
O8 O 0.629 0.629 0.152 1
```

What did the first record say?
Theoretical powder XRD pattern
Compound: CaInNiPt
Radiation: a wavelength of 1.5418 Å
Structure: a GGA-PBE-relaxed structure

The 6 most intense peaks (2θ from 10° to 90°), by angle:
2θ (°), I_rel
23.11, 29
38.19, 100
45.12, 16
55.12, 17
69.03, 34
81.73, 11

Atomic structure:
```
data_CaInNiPt
_chemical_formula_sum 'Ca1 In1 Ni1 Pt1'
_cell_length_a 4.713
_cell_length_b 4.713
_cell_length_c 4.713
_cell_angle_alpha 60.00
_cell_angle_beta 60.00
_cell_angle_gamma 60.00
_symmetry_space_group_name_H-M 'P 1'
_symmetry_Int_Tables_number 1
_symmetry_space_group_name_Hall 'P 1'
loop_
_atom_site_label
_atom_site_type_symbol
_atom_site_fract_x
_atom_site_fract_y
_atom_site_fract_z
_atom_site_occupancy
Ca1 Ca 0.000 0.000 0.000 1
In1 In 0.500 0.500 0.500 1
Ni1 Ni 0.250 0.250 0.250 1
Pt1 Pt 0.750 0.750 0.750 1
```

> Number 3 is which compound?

Ca2In2O5